(1)
The following is a theoretical powder diffraction line list of CeB4H2ClO8. It was derived from a DFT-relaxed cell (PBE, the Materials Project), using Cu Kα, 1.54184 Å.
No peak broadening, texture or thermal motion is included.

Main lines, in order of rising 2θ (10° ≤ 2θ ≤ 90°):
2θ (°), I (rel.)
15.63, 67
15.95, 27
16.52, 100
18.74, 81
20.31, 55
27.43, 32
29.12, 43
31.38, 33
35.82, 33
38.00, 32
41.31, 29
41.78, 26

Crystal structure
```
data_CeB4H2ClO8
_chemical_formula_sum 'Ce2 B8 H4 Cl2 O16'
_symmetry_space_group_name_H-M 'P 1'
_symmetry_Int_Tables_number 1
_symmetry_space_group_name_Hall 'P 1'
_cell_length_a 6.5648
_cell_length_b 6.5648
_cell_length_c 9.8218
_cell_angle_alpha 97.69
_cell_angle_beta 97.69
_cell_angle_gamma 119.51
loop_
_atom_site_label
_atom_site_type_symbol
_atom_site_fract_x
_atom_site_fract_y
_atom_site_fract_z
Ce1 Ce 0.2062 0.7938 0.5000
Ce2 Ce 0.7938 0.2062 0.0000
B1 B 0.1365 0.2462 0.5808
B2 B 0.2462 0.1365 0.0808
B3 B 0.3567 0.8447 0.1511
B4 B 0.5013 0.5671 0.0627
B5 B 0.5671 0.5013 0.5627
B6 B 0.7563 0.9457 0.6265
B7 B 0.8447 0.3567 0.6511
B8 B 0.9457 0.7563 0.1265
H1 H 0.5864 0.9953 0.3499
H2 H 0.9217 0.9359 0.3066
H3 H 0.9359 0.9217 0.8066
H4 H 0.9953 0.5864 0.8499
Cl1 Cl 0.3186 0.9636 0.8046
Cl2 Cl 0.9636 0.3186 0.3046
O1 O 0.0057 0.9758 0.0695
O2 O 0.0902 0.4233 0.6219
O3 O 0.1024 0.6702 0.0949
O4 O 0.2838 0.3537 0.0508
O5 O 0.3537 0.2838 0.5508
O6 O 0.4184 0.8704 0.3067
O7 O 0.4233 0.0902 0.1219
O8 O 0.5133 0.7834 0.0816
O9 O 0.5538 0.7003 0.5541
O10 O 0.6702 0.1024 0.5949
O11 O 0.7003 0.5538 0.0541
O12 O 0.7834 0.5133 0.5816
O13 O 0.8174 0.9683 0.7829
O14 O 0.8704 0.4184 0.8067
O15 O 0.9683 0.8174 0.2829
O16 O 0.9758 0.0057 0.5695
```

(2)
The following is a theoretical powder diffraction line list of CeB4ClO8. It was derived from a DFT-relaxed cell (PBE, the Materials Project), using Cu Kα, 1.54184 Å.
No peak broadening, texture or thermal motion is included.

Main lines, in order of rising 2θ (10° ≤ 2θ ≤ 90°):
2θ (°), I (rel.)
15.59, 59
16.01, 25
16.72, 100
19.90, 48
20.80, 52
27.42, 34
30.55, 57
31.48, 36
37.58, 28
42.06, 25
42.27, 39
44.06, 28

Crystal structure
```
data_CeB4ClO8
_chemical_formula_sum 'Ce2 B8 Cl2 O16'
_symmetry_space_group_name_H-M 'P 1'
_symmetry_Int_Tables_number 1
_symmetry_space_group_name_Hall 'P 1'
_cell_length_a 6.5697
_cell_length_b 6.5697
_cell_length_c 9.2721
_cell_angle_alpha 97.85
_cell_angle_beta 97.85
_cell_angle_gamma 119.82
loop_
_atom_site_label
_atom_site_type_symbol
_atom_site_fract_x
_atom_site_fract_y
_atom_site_fract_z
Ce1 Ce 0.2004 0.7996 0.5000
Ce2 Ce 0.7996 0.2004 0.0000
B1 B 0.0556 0.2394 0.3411
B2 B 0.1397 0.6260 0.8208
B3 B 0.2394 0.0556 0.8411
B4 B 0.4304 0.4983 0.9150
B5 B 0.4983 0.4304 0.4150
B6 B 0.6260 0.1397 0.3208
B7 B 0.7518 0.8601 0.3947
B8 B 0.8601 0.7518 0.8947
Cl1 Cl 0.0319 0.6708 0.1800
Cl2 Cl 0.6708 0.0319 0.6800
O1 O 0.0206 0.9888 0.8985
O2 O 0.0242 0.1913 0.1800
O3 O 0.1257 0.5790 0.6621
O4 O 0.1913 0.0242 0.6800
O5 O 0.2127 0.4852 0.8996
O6 O 0.2979 0.4431 0.4184
O7 O 0.3243 0.8899 0.8749
O8 O 0.4431 0.2979 0.9184
O9 O 0.4852 0.2127 0.3996
O10 O 0.5712 0.9036 0.3540
O11 O 0.5790 0.1257 0.1621
O12 O 0.6451 0.7171 0.9289
O13 O 0.7171 0.6451 0.4289
O14 O 0.8899 0.3243 0.3749
O15 O 0.9036 0.5712 0.8540
O16 O 0.9888 0.0206 0.3985
```

(3)
The following is a theoretical powder diffraction line list of CeCo3B2. It was derived from a DFT-relaxed cell (PBE, the Materials Project), using Cu Kα, 1.54184 Å.
No peak broadening, texture or thermal motion is included.

Main lines, in order of rising 2θ (10° ≤ 2θ ≤ 90°):
2θ (°), I (rel.)
20.35, 25
35.64, 12
36.16, 100
41.38, 92
46.96, 58
61.37, 10
64.35, 36
72.06, 16
75.47, 16
76.73, 27
86.66, 16
89.93, 9

Crystal structure
```
data_CeCo3B2
_chemical_formula_sum 'Ce1 Co3 B2'
_symmetry_space_group_name_H-M 'P 1'
_symmetry_Int_Tables_number 1
_symmetry_space_group_name_Hall 'P 1'
_cell_length_a 5.0387
_cell_length_b 5.0387
_cell_length_c 3.0214
_cell_angle_alpha 90.00
_cell_angle_beta 90.00
_cell_angle_gamma 120.00
loop_
_atom_site_label
_atom_site_type_symbol
_atom_site_fract_x
_atom_site_fract_y
_atom_site_fract_z
Ce1 Ce 0.0000 0.0000 0.0000
Co1 Co 0.0000 0.5000 0.5000
Co2 Co 0.5000 0.0000 0.5000
Co3 Co 0.5000 0.5000 0.5000
B1 B 0.3333 0.6667 0.0000
B2 B 0.6667 0.3333 0.0000
```

(4)
The following is a theoretical powder diffraction line list of Ce2Co7B3. It was derived from a DFT-relaxed cell (PBE, the Materials Project), using Cu Kα, 1.54184 Å.
No peak broadening, texture or thermal motion is included.

Main lines, in order of rising 2θ (10° ≤ 2θ ≤ 90°):
2θ (°), I (rel.)
20.42, 18
34.64, 100
35.76, 23
41.53, 97
45.81, 84
63.53, 34
69.29, 10
71.34, 21
73.09, 15
75.76, 22
80.26, 11
86.08, 17

Crystal structure
```
data_Ce2Co7B3
_chemical_formula_sum 'Ce4 Co14 B6'
_symmetry_space_group_name_H-M 'P 1'
_symmetry_Int_Tables_number 1
_symmetry_space_group_name_Hall 'P 1'
_cell_length_a 5.0219
_cell_length_b 5.0219
_cell_length_c 12.8909
_cell_angle_alpha 90.00
_cell_angle_beta 90.00
_cell_angle_gamma 120.00
loop_
_atom_site_label
_atom_site_type_symbol
_atom_site_fract_x
_atom_site_fract_y
_atom_site_fract_z
Ce1 Ce 0.0000 0.0000 0.0000
Ce2 Ce 0.0000 0.0000 0.2425
Ce3 Ce 0.0000 0.0000 0.5000
Ce4 Ce 0.0000 0.0000 0.7575
Co1 Co 0.0000 0.5000 0.1161
Co2 Co 0.0000 0.5000 0.3434
Co3 Co 0.0000 0.5000 0.6566
Co4 Co 0.0000 0.5000 0.8839
Co5 Co 0.3333 0.6667 0.5000
Co6 Co 0.5000 0.0000 0.1161
Co7 Co 0.5000 0.0000 0.3434
Co8 Co 0.5000 0.0000 0.6566
Co9 Co 0.5000 0.0000 0.8839
Co10 Co 0.5000 0.5000 0.1161
Co11 Co 0.5000 0.5000 0.3434
Co12 Co 0.5000 0.5000 0.6566
Co13 Co 0.5000 0.5000 0.8839
Co14 Co 0.6667 0.3333 0.5000
B1 B 0.3333 0.6667 0.0000
B2 B 0.3333 0.6667 0.2315
B3 B 0.3333 0.6667 0.7685
B4 B 0.6667 0.3333 0.0000
B5 B 0.6667 0.3333 0.2315
B6 B 0.6667 0.3333 0.7685
```

(5)
The following is a theoretical powder diffraction line list of CeCo12B6. It was derived from a DFT-relaxed cell (PBE, the Materials Project), using Cu Kα, 1.54184 Å.
No peak broadening, texture or thermal motion is included.

Main lines, in order of rising 2θ (10° ≤ 2θ ≤ 90°):
2θ (°), I (rel.)
31.38, 12
32.63, 38
32.89, 32
41.25, 58
41.68, 100
47.01, 23
49.84, 26
58.73, 23
62.08, 18
64.45, 12
83.94, 10
86.51, 9

Crystal structure
```
data_CeCo12B6
_chemical_formula_sum 'Ce1 Co12 B6'
_symmetry_space_group_name_H-M 'P 1'
_symmetry_Int_Tables_number 1
_symmetry_space_group_name_Hall 'P 1'
_cell_length_a 5.9804
_cell_length_b 5.9804
_cell_length_c 5.9804
_cell_angle_alpha 104.12
_cell_angle_beta 104.12
_cell_angle_gamma 104.12
loop_
_atom_site_label
_atom_site_type_symbol
_atom_site_fract_x
_atom_site_fract_y
_atom_site_fract_z
Ce1 Ce 0.0000 0.0000 0.0000
Co1 Co 0.1341 0.5000 0.8659
Co2 Co 0.1341 0.8659 0.5000
Co3 Co 0.1863 0.4559 0.4559
Co4 Co 0.4559 0.1863 0.4559
Co5 Co 0.4559 0.4559 0.1863
Co6 Co 0.5000 0.1341 0.8659
Co7 Co 0.5000 0.8659 0.1341
Co8 Co 0.5441 0.5441 0.8137
Co9 Co 0.5441 0.8137 0.5441
Co10 Co 0.8137 0.5441 0.5441
Co11 Co 0.8659 0.1341 0.5000
Co12 Co 0.8659 0.5000 0.1341
B1 B 0.2304 0.2304 0.6696
B2 B 0.2304 0.6696 0.2304
B3 B 0.3304 0.7696 0.7696
B4 B 0.6696 0.2304 0.2304
B5 B 0.7696 0.3304 0.7696
B6 B 0.7696 0.7696 0.3304
```

(6)
The following is a theoretical powder diffraction line list of Ce2Co5B2. It was derived from a DFT-relaxed cell (PBE, the Materials Project), using Cu Kα, 1.54184 Å.
No peak broadening, texture or thermal motion is included.

Main lines, in order of rising 2θ (10° ≤ 2θ ≤ 90°):
2θ (°), I (rel.)
20.63, 17
33.89, 27
35.25, 42
37.73, 99
40.93, 30
41.20, 87
44.94, 100
64.90, 41
70.05, 25
74.55, 29
75.81, 29
86.71, 17

Crystal structure
```
data_Ce2Co5B2
_chemical_formula_sum 'Ce8 Co20 B8'
_symmetry_space_group_name_H-M 'P 1'
_symmetry_Int_Tables_number 1
_symmetry_space_group_name_Hall 'P 1'
_cell_length_a 5.0918
_cell_length_b 5.0918
_cell_length_c 19.8396
_cell_angle_alpha 90.00
_cell_angle_beta 90.00
_cell_angle_gamma 120.00
loop_
_atom_site_label
_atom_site_type_symbol
_atom_site_fract_x
_atom_site_fract_y
_atom_site_fract_z
Ce1 Ce 0.3333 0.6667 0.0193
Ce2 Ce 0.3333 0.6667 0.1718
Ce3 Ce 0.3333 0.6667 0.3282
Ce4 Ce 0.3333 0.6667 0.4807
Ce5 Ce 0.6667 0.3333 0.5193
Ce6 Ce 0.6667 0.3333 0.6718
Ce7 Ce 0.6667 0.3333 0.8282
Ce8 Ce 0.6667 0.3333 0.9807
Co1 Co 0.0000 0.0000 0.0000
Co2 Co 0.0000 0.0000 0.5000
Co3 Co 0.1629 0.3257 0.6054
Co4 Co 0.1629 0.3257 0.8946
Co5 Co 0.1629 0.8371 0.6054
Co6 Co 0.1629 0.8371 0.8946
Co7 Co 0.1674 0.3348 0.7500
Co8 Co 0.1674 0.8326 0.7500
Co9 Co 0.3257 0.1629 0.1054
Co10 Co 0.3257 0.1629 0.3946
Co11 Co 0.3348 0.1674 0.2500
Co12 Co 0.6652 0.8326 0.7500
Co13 Co 0.6743 0.8371 0.6054
Co14 Co 0.6743 0.8371 0.8946
Co15 Co 0.8326 0.1674 0.2500
Co16 Co 0.8326 0.6652 0.2500
Co17 Co 0.8371 0.1629 0.1054
Co18 Co 0.8371 0.1629 0.3946
Co19 Co 0.8371 0.6743 0.1054
Co20 Co 0.8371 0.6743 0.3946
B1 B 0.0000 0.0000 0.1769
B2 B 0.0000 0.0000 0.3231
B3 B 0.0000 0.0000 0.6769
B4 B 0.0000 0.0000 0.8231
B5 B 0.3333 0.6667 0.6747
B6 B 0.3333 0.6667 0.8253
B7 B 0.6667 0.3333 0.1747
B8 B 0.6667 0.3333 0.3253
```

(7)
The following is a theoretical powder diffraction line list of CeCo2SiB. It was derived from a DFT-relaxed cell (PBE, the Materials Project), using Cu Kα, 1.54184 Å.
No peak broadening, texture or thermal motion is included.

Main lines, in order of rising 2θ (10° ≤ 2θ ≤ 90°):
2θ (°), I (rel.)
25.66, 61
36.70, 53
36.80, 20
38.93, 100
49.04, 34
52.95, 14
56.16, 15
62.82, 38
67.71, 17
71.88, 10
83.57, 12
84.90, 20

Crystal structure
```
data_CeCo2SiB
_chemical_formula_sum 'Ce1 Co2 Si1 B1'
_symmetry_space_group_name_H-M 'P 1'
_symmetry_Int_Tables_number 1
_symmetry_space_group_name_Hall 'P 1'
_cell_length_a 5.5458
_cell_length_b 5.5458
_cell_length_c 5.5458
_cell_angle_alpha 140.86
_cell_angle_beta 140.86
_cell_angle_gamma 56.54
loop_
_atom_site_label
_atom_site_type_symbol
_atom_site_fract_x
_atom_site_fract_y
_atom_site_fract_z
Ce1 Ce 0.0000 0.0000 0.0000
Co1 Co 0.2240 0.7240 0.5000
Co2 Co 0.7240 0.2240 0.5000
Si1 Si 0.3560 0.3560 0.0000
B1 B 0.6316 0.6316 0.0000
```